# BaCoSiO4
Computed powder diffraction line list, Cu Kα (λ = 1.5418 Å). Input: a cell relaxed with GGA+U.
Intensities are scaled so that the largest is 100.

Crystal structure
Unit cell a=9.229 b=9.229 c=8.789 alpha=90.00 beta=90.00 gamma=120.00
Sites, in units of the cell vectors:
Ba  0.000  0.000  0.000
Ba  0.000  0.000  0.500
Ba  0.333  0.667  0.030
Ba  0.333  0.667  0.532
Ba  0.667  0.333  0.032
Ba  0.667  0.333  0.530
Co  0.011  0.328  0.218
Co  0.317  0.989  0.218
Co  0.328  0.317  0.718
Co  0.672  0.683  0.218
Co  0.683  0.011  0.718
Co  0.989  0.672  0.718
Si  0.011  0.340  0.820
Si  0.329  0.989  0.820
Si  0.340  0.329  0.320
Si  0.660  0.671  0.820
Si  0.671  0.011  0.320
Si  0.989  0.660  0.320
O  0.069  0.347  0.000
O  0.086  0.236  0.728
O  0.095  0.536  0.761
O  0.150  0.914  0.728
O  0.194  0.760  0.305
O  0.236  0.150  0.228
O  0.240  0.434  0.305
O  0.278  0.931  0.000
O  0.347  0.278  0.500
O  0.434  0.194  0.805
O  0.441  0.905  0.761
O  0.464  0.559  0.761
O  0.536  0.441  0.261
O  0.559  0.095  0.261
O  0.566  0.806  0.305
O  0.653  0.722  0.000
O  0.722  0.069  0.500
O  0.760  0.566  0.805
O  0.764  0.850  0.728
O  0.806  0.240  0.805
O  0.850  0.086  0.228
O  0.905  0.464  0.261
O  0.914  0.764  0.228
O  0.931  0.653  0.500

Principal peaks in the range 15 to 90 degrees two-theta, by intensity:
h k l, d [Å], I_rel
1 1 2, 3.182, 100.0
3 0 0, 2.664, 50.6
2 2 2, 2.043, 26.7
4 1 2, 1.621, 25.7
1 1 0, 4.615, 24.7
3 3 0, 1.538, 13.0
1 1 1, 4.086, 12.5
3 0 4, 1.695, 12.1